Record 1
NaSrMg2Hg4: theoretical PXRD pattern (copper Kα), based on the GGA-PBE geometry in Alexandria.

Crystal structure
```
data_NaSrMg2Hg4
_chemical_formula_sum 'Na1 Sr1 Mg2 Hg4'
_symmetry_space_group_name_H-M 'P 1'
_symmetry_Int_Tables_number 1
_symmetry_space_group_name_Hall 'P 1'
_cell_length_a 9.765
_cell_length_b 9.765
_cell_length_c 9.765
_cell_angle_alpha 29.78
_cell_angle_beta 29.78
_cell_angle_gamma 29.78
loop_
_atom_site_label
_atom_site_type_symbol
_atom_site_fract_x
_atom_site_fract_y
_atom_site_fract_z
Na1 Na 0.000 0.000 0.000
Sr1 Sr 0.500 0.500 0.500
Mg1 Mg 0.261 0.261 0.261
Mg2 Mg 0.739 0.739 0.739
Hg1 Hg 0.110 0.110 0.110
Hg2 Hg 0.373 0.373 0.373
Hg3 Hg 0.627 0.627 0.627
Hg4 Hg 0.890 0.890 0.890
```

Largest 10 diffraction maxima, sorted by position, 5 to 70 degrees two-theta:
2θ/deg  I/Imax
24.1  100.0
30.4  13.7
32.9  90.0
35.8  94.3
43.6  22.1
49.4  29.0
57.6  19.8
62.0  14.6
62.5  28.8
64.3  17.3

Record 2
CsKHgCl4: theoretical PXRD pattern (copper Kα), based on the GGA-PBE geometry in Alexandria.

Crystal structure
```
data_CsKHgCl4
_chemical_formula_sum 'Cs2 K2 Hg2 Cl8'
_symmetry_space_group_name_H-M 'P 1'
_symmetry_Int_Tables_number 1
_symmetry_space_group_name_Hall 'P 1'
_cell_length_a 7.648
_cell_length_b 7.470
_cell_length_c 9.461
_cell_angle_alpha 90.00
_cell_angle_beta 107.59
_cell_angle_gamma 90.00
loop_
_atom_site_label
_atom_site_type_symbol
_atom_site_fract_x
_atom_site_fract_y
_atom_site_fract_z
Cs1 Cs 0.243 0.250 0.441
Cs2 Cs 0.757 0.750 0.559
K1 K 0.283 0.250 0.944
K2 K 0.717 0.750 0.056
Hg1 Hg 0.259 0.750 0.176
Hg2 Hg 0.741 0.250 0.824
Cl1 Cl 0.049 0.750 0.916
Cl2 Cl 0.071 0.750 0.355
Cl3 Cl 0.495 0.004 0.230
Cl4 Cl 0.495 0.496 0.230
Cl5 Cl 0.505 0.504 0.770
Cl6 Cl 0.505 0.996 0.770
Cl7 Cl 0.929 0.250 0.645
Cl8 Cl 0.951 0.250 0.084
```

Largest 10 diffraction maxima, sorted by position, 5 to 70 degrees two-theta:
2θ/deg  I/Imax
13.1  100.0
15.4  81.4
17.7  78.0
17.8  70.9
23.1  96.8
23.8  88.3
28.8  80.3
29.0  91.3
34.4  74.3
38.1  74.7

Record 3
MgAl10Rh2: theoretical PXRD pattern (copper Kα), based on the GGA-PBE geometry in Alexandria.

Crystal structure
```
data_MgAl10Rh2
_chemical_formula_sum 'Mg2 Al20 Rh4'
_symmetry_space_group_name_H-M 'P 1'
_symmetry_Int_Tables_number 1
_symmetry_space_group_name_Hall 'P 1'
_cell_length_a 6.839
_cell_length_b 6.839
_cell_length_c 9.089
_cell_angle_alpha 90.00
_cell_angle_beta 90.00
_cell_angle_gamma 96.23
loop_
_atom_site_label
_atom_site_type_symbol
_atom_site_fract_x
_atom_site_fract_y
_atom_site_fract_z
Mg1 Mg 0.128 0.872 0.750
Mg2 Mg 0.872 0.128 0.250
Al1 Al 0.147 0.853 0.100
Al2 Al 0.147 0.853 0.400
Al3 Al 0.150 0.424 0.750
Al4 Al 0.225 0.479 0.250
Al5 Al 0.226 0.226 0.000
Al6 Al 0.226 0.226 0.500
Al7 Al 0.375 0.625 0.546
Al8 Al 0.375 0.625 0.954
Al9 Al 0.424 0.150 0.250
Al10 Al 0.479 0.225 0.750
Al11 Al 0.521 0.775 0.250
Al12 Al 0.576 0.850 0.750
Al13 Al 0.625 0.375 0.046
Al14 Al 0.625 0.375 0.454
Al15 Al 0.774 0.774 0.000
Al16 Al 0.774 0.774 0.500
Al17 Al 0.775 0.521 0.750
Al18 Al 0.850 0.576 0.250
Al19 Al 0.853 0.147 0.600
Al20 Al 0.853 0.147 0.900
Rh1 Rh 0.000 0.500 0.000
Rh2 Rh 0.000 0.500 0.500
Rh3 Rh 0.500 0.000 0.000
Rh4 Rh 0.500 0.000 0.500
```

Largest 10 diffraction maxima, sorted by position, 5 to 70 degrees two-theta:
2θ/deg  I/Imax
17.4  57.2
19.5  100.0
26.3  58.4
27.7  29.4
32.9  31.2
39.5  30.1
39.7  29.9
40.6  86.7
44.6  36.7
45.4  72.6

Record 4
ErGa3Fe: theoretical PXRD pattern (copper Kα), based on the GGA-PBE geometry in Alexandria.

Crystal structure
```
data_ErGa3Fe
_chemical_formula_sum 'Er2 Ga6 Fe2'
_symmetry_space_group_name_H-M 'P 1'
_symmetry_Int_Tables_number 1
_symmetry_space_group_name_Hall 'P 1'
_cell_length_a 6.125
_cell_length_b 6.125
_cell_length_c 5.404
_cell_angle_alpha 90.00
_cell_angle_beta 90.00
_cell_angle_gamma 120.00
loop_
_atom_site_label
_atom_site_type_symbol
_atom_site_fract_x
_atom_site_fract_y
_atom_site_fract_z
Er1 Er 0.333 0.667 0.250
Er2 Er 0.667 0.333 0.750
Ga1 Ga 0.191 0.381 0.750
Ga2 Ga 0.191 0.809 0.750
Ga3 Ga 0.381 0.191 0.250
Ga4 Ga 0.619 0.809 0.750
Ga5 Ga 0.809 0.191 0.250
Ga6 Ga 0.809 0.619 0.250
Fe1 Fe 0.000 0.000 0.000
Fe2 Fe 0.000 0.000 0.500
```

Largest 10 diffraction maxima, sorted by position, 5 to 70 degrees two-theta:
2θ/deg  I/Imax
23.5  10.5
29.2  27.4
33.2  25.3
33.8  10.7
37.4  20.8
37.8  100.0
48.1  29.4
48.4  15.9
60.5  18.6
62.3  22.7

Record 5
CaTaPbS2: theoretical PXRD pattern (copper Kα), based on the GGA-PBE geometry in Alexandria.

Crystal structure
```
data_CaTaPbS2
_chemical_formula_sum 'Ca1 Ta1 Pb1 S2'
_symmetry_space_group_name_H-M 'P 1'
_symmetry_Int_Tables_number 1
_symmetry_space_group_name_Hall 'P 1'
_cell_length_a 4.765
_cell_length_b 4.765
_cell_length_c 6.290
_cell_angle_alpha 90.00
_cell_angle_beta 90.00
_cell_angle_gamma 90.00
loop_
_atom_site_label
_atom_site_type_symbol
_atom_site_fract_x
_atom_site_fract_y
_atom_site_fract_z
Ca1 Ca 0.000 0.000 0.000
Ta1 Ta 0.000 0.000 0.500
Pb1 Pb 0.500 0.500 0.000
S1 S 0.000 0.500 0.500
S2 S 0.500 0.000 0.500
```

Largest 10 diffraction maxima, sorted by position, 5 to 70 degrees two-theta:
2θ/deg  I/Imax
23.4  100.0
26.5  41.3
28.4  33.4
37.8  31.0
39.2  30.4
44.9  37.6
47.4  16.2
47.9  31.3
62.1  14.7
62.5  14.0

Record 6
Na4B5C3: theoretical PXRD pattern (copper Kα), based on the GGA-PBE geometry in Alexandria.

Crystal structure
```
data_Na4B5C3
_chemical_formula_sum 'Na8 B10 C6'
_symmetry_space_group_name_H-M 'P 1'
_symmetry_Int_Tables_number 1
_symmetry_space_group_name_Hall 'P 1'
_cell_length_a 8.508
_cell_length_b 5.702
_cell_length_c 5.004
_cell_angle_alpha 90.00
_cell_angle_beta 90.00
_cell_angle_gamma 90.00
loop_
_atom_site_label
_atom_site_type_symbol
_atom_site_fract_x
_atom_site_fract_y
_atom_site_fract_z
Na1 Na 0.000 0.000 0.000
Na2 Na 0.000 0.250 0.500
Na3 Na 0.000 0.500 0.000
Na4 Na 0.000 0.750 0.500
Na5 Na 0.500 0.000 0.000
Na6 Na 0.500 0.250 0.500
Na7 Na 0.500 0.500 0.000
Na8 Na 0.500 0.750 0.500
B1 B 0.250 0.000 0.319
B2 B 0.250 0.000 0.660
B3 B 0.250 0.261 0.844
B4 B 0.250 0.500 0.336
B5 B 0.250 0.739 0.844
B6 B 0.750 0.000 0.340
B7 B 0.750 0.000 0.681
B8 B 0.750 0.261 0.156
B9 B 0.750 0.500 0.664
B10 B 0.750 0.739 0.156
C1 C 0.250 0.255 0.165
C2 C 0.250 0.500 0.665
C3 C 0.250 0.745 0.165
C4 C 0.750 0.255 0.835
C5 C 0.750 0.500 0.335
C6 C 0.750 0.745 0.835
```

Largest 10 diffraction maxima, sorted by position, 5 to 70 degrees two-theta:
2θ/deg  I/Imax
35.9  9.6
36.3  17.1
41.9  49.1
42.2  100.0
42.5  38.0
56.8  5.3
57.1  9.6
64.7  17.3
65.5  8.3
68.8  1.6

Record 7
Tb4DyBi5: theoretical PXRD pattern (copper Kα), based on the GGA-PBE geometry in Alexandria.

Crystal structure
```
data_Tb4DyBi5
_chemical_formula_sum 'Tb4 Dy1 Bi5'
_symmetry_space_group_name_H-M 'P 1'
_symmetry_Int_Tables_number 1
_symmetry_space_group_name_Hall 'P 1'
_cell_length_a 11.868
_cell_length_b 11.868
_cell_length_c 11.868
_cell_angle_alpha 158.21
_cell_angle_beta 149.01
_cell_angle_gamma 38.20
loop_
_atom_site_label
_atom_site_type_symbol
_atom_site_fract_x
_atom_site_fract_y
_atom_site_fract_z
Tb1 Tb 0.100 0.100 0.000
Tb2 Tb 0.300 0.300 0.000
Tb3 Tb 0.700 0.700 0.000
Tb4 Tb 0.900 0.900 0.000
Dy1 Dy 0.500 0.500 0.000
Bi1 Bi 0.000 0.500 0.500
Bi2 Bi 0.200 0.700 0.500
Bi3 Bi 0.400 0.900 0.500
Bi4 Bi 0.600 0.100 0.500
Bi5 Bi 0.800 0.300 0.500
```

Largest 8 diffraction maxima, sorted by position, 5 to 70 degrees two-theta:
2θ/deg  I/Imax
24.3  3.2
28.1  100.0
40.2  78.3
47.5  1.9
49.8  28.4
58.2  13.5
64.0  0.9
65.8  37.4

Record 8
Na2As7Rh12: theoretical PXRD pattern (copper Kα), based on the GGA-PBE geometry in Alexandria.

Crystal structure
```
data_Na2As7Rh12
_chemical_formula_sum 'Na2 As7 Rh12'
_symmetry_space_group_name_H-M 'P 1'
_symmetry_Int_Tables_number 1
_symmetry_space_group_name_Hall 'P 1'
_cell_length_a 9.987
_cell_length_b 9.987
_cell_length_c 3.859
_cell_angle_alpha 90.00
_cell_angle_beta 90.00
_cell_angle_gamma 120.00
loop_
_atom_site_label
_atom_site_type_symbol
_atom_site_fract_x
_atom_site_fract_y
_atom_site_fract_z
Na1 Na 0.000 0.000 0.000
Na2 Na 0.333 0.667 0.500
As1 As 0.075 0.625 0.000
As2 As 0.260 0.046 0.500
As3 As 0.375 0.450 0.000
As4 As 0.550 0.925 0.000
As5 As 0.667 0.333 0.500
As6 As 0.786 0.740 0.500
As7 As 0.954 0.214 0.500
Rh1 Rh 0.047 0.777 0.500
Rh2 Rh 0.107 0.390 0.000
Rh3 Rh 0.223 0.270 0.500
Rh4 Rh 0.283 0.893 0.000
Rh5 Rh 0.421 0.227 0.000
Rh6 Rh 0.513 0.061 0.500
Rh7 Rh 0.548 0.487 0.500
Rh8 Rh 0.610 0.717 0.000
Rh9 Rh 0.730 0.953 0.500
Rh10 Rh 0.773 0.194 0.000
Rh11 Rh 0.806 0.579 0.000
Rh12 Rh 0.939 0.452 0.500
```

Largest 10 diffraction maxima, sorted by position, 5 to 70 degrees two-theta:
2θ/deg  I/Imax
10.2  13.8
17.8  30.1
36.0  100.0
39.0  14.7
44.5  39.6
45.7  21.2
47.1  25.4
48.2  48.4
67.7  16.3
69.7  21.5

Record 9
La5SmZn4: theoretical PXRD pattern (copper Kα), based on the GGA-PBE geometry in Alexandria.

Crystal structure
```
data_La5SmZn4
_chemical_formula_sum 'La5 Sm1 Zn4'
_symmetry_space_group_name_H-M 'P 1'
_symmetry_Int_Tables_number 1
_symmetry_space_group_name_Hall 'P 1'
_cell_length_a 3.762
_cell_length_b 3.762
_cell_length_c 20.115
_cell_angle_alpha 90.00
_cell_angle_beta 90.00
_cell_angle_gamma 90.00
loop_
_atom_site_label
_atom_site_type_symbol
_atom_site_fract_x
_atom_site_fract_y
_atom_site_fract_z
La1 La 0.000 0.000 0.000
La2 La 0.000 0.000 0.186
La3 La 0.000 0.000 0.372
La4 La 0.000 0.000 0.628
La5 La 0.000 0.000 0.814
Sm1 Sm 0.500 0.500 0.500
Zn1 Zn 0.500 0.500 0.093
Zn2 Zn 0.500 0.500 0.281
Zn3 Zn 0.500 0.500 0.719
Zn4 Zn 0.500 0.500 0.907
```

Largest 10 diffraction maxima, sorted by position, 5 to 70 degrees two-theta:
2θ/deg  I/Imax
23.7  7.4
29.7  12.1
32.6  100.0
33.7  61.5
35.9  14.1
48.4  22.0
49.9  6.9
57.4  7.3
59.6  34.7
61.5  10.5

Record 10
Ba2AcSb2O6: theoretical PXRD pattern (copper Kα), based on the GGA-PBE geometry in Alexandria.

Crystal structure
```
data_Ba2AcSb2O6
_chemical_formula_sum 'Ba2 Ac1 Sb2 O6'
_symmetry_space_group_name_H-M 'P 1'
_symmetry_Int_Tables_number 1
_symmetry_space_group_name_Hall 'P 1'
_cell_length_a 6.655
_cell_length_b 6.655
_cell_length_c 7.146
_cell_angle_alpha 117.26
_cell_angle_beta 117.26
_cell_angle_gamma 59.22
loop_
_atom_site_label
_atom_site_type_symbol
_atom_site_fract_x
_atom_site_fract_y
_atom_site_fract_z
Ba1 Ba 0.219 0.219 0.169
Ba2 Ba 0.781 0.781 0.831
Ac1 Ac 0.000 0.000 0.500
Sb1 Sb 0.455 0.455 0.762
Sb2 Sb 0.545 0.545 0.238
O1 O 0.168 0.673 0.182
O2 O 0.237 0.237 0.581
O3 O 0.327 0.832 0.818
O4 O 0.673 0.168 0.182
O5 O 0.763 0.763 0.419
O6 O 0.832 0.327 0.818
```

Largest 10 diffraction maxima, sorted by position, 5 to 70 degrees two-theta:
2θ/deg  I/Imax
24.9  35.1
26.8  100.0
27.1  54.3
28.8  18.9
29.2  83.5
39.9  27.2
47.7  20.8
49.1  19.9
49.2  19.5
52.6  19.7

Record 11
GeBi4S7: theoretical PXRD pattern (copper Kα), based on the GGA-PBE geometry in Alexandria.

Crystal structure
```
data_GeBi4S7
_chemical_formula_sum 'Ge1 Bi4 S7'
_symmetry_space_group_name_H-M 'P 1'
_symmetry_Int_Tables_number 1
_symmetry_space_group_name_Hall 'P 1'
_cell_length_a 6.999
_cell_length_b 6.999
_cell_length_c 11.855
_cell_angle_alpha 101.86
_cell_angle_beta 101.86
_cell_angle_gamma 32.71
loop_
_atom_site_label
_atom_site_type_symbol
_atom_site_fract_x
_atom_site_fract_y
_atom_site_fract_z
Ge1 Ge 0.000 0.000 0.000
Bi1 Bi 0.137 0.137 0.444
Bi2 Bi 0.250 0.250 0.888
Bi3 Bi 0.449 0.449 0.637
Bi4 Bi 0.822 0.822 0.264
S1 S 0.094 0.094 0.667
S2 S 0.182 0.182 0.225
S3 S 0.403 0.403 0.079
S4 S 0.485 0.485 0.401
S5 S 0.647 0.647 0.965
S6 S 0.796 0.796 0.491
S7 S 0.890 0.890 0.804
```

Largest 10 diffraction maxima, sorted by position, 5 to 70 degrees two-theta:
2θ/deg  I/Imax
22.6  100.0
24.1  85.1
27.4  60.5
30.4  52.0
32.2  52.3
32.6  65.7
40.4  58.6
43.8  49.7
46.1  48.7
46.4  50.1

Record 12
Sr10Sb4O3: theoretical PXRD pattern (copper Kα), based on the GGA-PBE geometry in Alexandria.

Crystal structure
```
data_Sr10Sb4O3
_chemical_formula_sum 'Sr10 Sb4 O3'
_symmetry_space_group_name_H-M 'P 1'
_symmetry_Int_Tables_number 1
_symmetry_space_group_name_Hall 'P 1'
_cell_length_a 19.595
_cell_length_b 19.595
_cell_length_c 19.595
_cell_angle_alpha 165.15
_cell_angle_beta 165.15
_cell_angle_gamma 21.06
loop_
_atom_site_label
_atom_site_type_symbol
_atom_site_fract_x
_atom_site_fract_y
_atom_site_fract_z
Sr1 Sr 0.000 0.500 0.500
Sr2 Sr 0.068 0.068 0.000
Sr3 Sr 0.137 0.637 0.500
Sr4 Sr 0.215 0.215 0.000
Sr5 Sr 0.363 0.863 0.500
Sr6 Sr 0.500 0.000 0.500
Sr7 Sr 0.637 0.137 0.500
Sr8 Sr 0.785 0.785 0.000
Sr9 Sr 0.863 0.363 0.500
Sr10 Sr 0.932 0.932 0.000
Sb1 Sb 0.302 0.302 0.000
Sb2 Sb 0.432 0.432 0.000
Sb3 Sb 0.568 0.568 0.000
Sb4 Sb 0.698 0.698 0.000
O1 O 0.000 0.000 0.000
O2 O 0.133 0.133 0.000
O3 O 0.867 0.867 0.000
```

Largest 10 diffraction maxima, sorted by position, 5 to 70 degrees two-theta:
2θ/deg  I/Imax
28.5  39.9
31.1  100.0
32.5  24.5
35.5  60.3
48.9  30.4
51.0  20.8
58.7  15.7
59.5  10.0
61.0  28.4
61.8  14.8